Starting from a structure optimized by DFT (GGA-PBE), the X-ray powder pattern of Tc3Pt was calculated for Cu Kα X-rays.
Neutral-atom scattering factors, no anomalous dispersion.

Structural model:
a = 2.7623 Å, b = 2.7623 Å, c = 8.9557 Å
α = 90.00°, β = 90.00°, γ = 120.00°
Space group P-6m2 (No. 187)
Symmetry-distinct sites (fractional):
1 Tc 0.0000 0.0000 0.0000
2 Tc 0.3333 0.6667 0.2443
3 Pt 0.0000 0.0000 0.5000

Principal peaks in the range 2θ from 10° to 90°, in order of rising 2θ:
2θ (°), I (rel.)
19.83, 5
37.60, 26
38.97, 6
40.28, 26
42.86, 100
56.28, 16
67.86, 17
75.00, 19
81.97, 20
83.69, 14


Starting from a structure optimized by DFT (GGA-PBE), the X-ray powder pattern of Nb2Pb3N4 was calculated for Cu Kα X-rays.
Neutral-atom scattering factors, no anomalous dispersion.

Structural model:
a = 6.728 Å, b = 11.627 Å, c = 9.693 Å
α = 90.00°, β = 90.00°, γ = 90.00°
Space group Pnna (No. 52)
Symmetry-distinct sites (fractional):
1 Nb 0.194 0.250 0.250
2 Nb 0.250 0.000 0.234
3 Pb 0.242 0.143 0.920
4 Pb 0.250 0.000 0.568
5 N 0.098 0.100 0.359
6 N 0.119 0.646 0.338

Principal peaks in the range 2θ from 10° to 90°, in order of rising 2θ:
2θ (°), I (rel.)
24.74, 71
26.50, 69
30.70, 100
32.43, 68
36.56, 51
46.20, 28
49.47, 25
50.67, 23
54.61, 15
57.05, 21


> Number 1 is which compound?

Tc3Pt